Entry 1:
The following is a computed X-ray powder pattern of CePm2Dy3. It was derived from a PBE-relaxed structure, using a wavelength of 1.5418 Å.
Neutral-atom scattering factors, no anomalous dispersion.

The 10 most intense peaks (2θ = 10–90°), by intensity:
2theta	d [Å]	Rel. int.	index
30.7	2.916	100	1 2 3
35.5	2.532	34	2 0 0
51.2	1.784	24	2 4 0
35.7	2.513	17	0 4 0
60.6	1.527	14	1 2 9
60.8	1.524	14	3 2 3
61.1	1.518	14	1 6 3
63.8	1.458	12	2 4 6
51.0	1.790	12	2 0 6
83.2	1.161	6	3 2 9

Atomic structure:
Unit cell a=5.057 b=10.053 c=15.209 alpha=90.00 beta=90.00 gamma=90.00
Space group Imma (No. 74)
Asymmetric unit:
Ce: 0.000 0.250 0.169 (multiplicity 4)
Pm: 0.000 0.250 0.499 (multiplicity 4)
Pm: 0.000 0.250 0.833 (multiplicity 4)
Dy: 0.000 0.000 0.000 (multiplicity 4)
Dy: 0.000 0.005 0.332 (multiplicity 8)



Entry 2:
The following is a computed X-ray powder pattern of CePm2Dy8. It was derived from a PBE-relaxed structure, using a wavelength of 1.5418 Å.
Neutral-atom scattering factors, no anomalous dispersion.

The 9 most intense peaks (2θ = 10–90°), by intensity:
2theta	d [Å]	Rel. int.	index
30.7	2.908	100	1 1 2
35.6	2.519	51	0 2 0
61.0	1.519	43	1 3 2
51.3	1.781	36	6 2 1
83.7	1.156	18	9 3 -4
86.4	1.126	17	6 4 1
64.0	1.454	6	2 2 4
64.0	1.454	6	10 2 -2
75.5	1.259	6	0 4 0

Atomic structure:
Unit cell a=18.156 b=5.039 c=7.965 alpha=90.00 beta=105.24 gamma=90.00
Space group C2/m (No. 12)
Asymmetric unit:
Ce: 0.000 0.000 0.000 (multiplicity 2)
Pm: 0.228 0.500 0.637 (multiplicity 4)
Dy: 0.044 0.500 0.731 (multiplicity 4)
Dy: 0.090 0.000 0.453 (multiplicity 4)
Dy: 0.135 0.500 0.178 (multiplicity 4)
Dy: 0.180 0.000 0.907 (multiplicity 4)



Entry 3:
The following is a computed X-ray powder pattern of CePm10Dy4. It was derived from a PBE-relaxed structure, using a wavelength of 1.5418 Å.
Neutral-atom scattering factors, no anomalous dispersion.

The 10 most intense peaks (2θ = 10–90°), by intensity:
2theta	d [Å]	Rel. int.	index
28.8	3.097	100	3 1 0
32.4	2.763	92	2 1 3
28.6	3.122	90	3 0 1
33.4	2.679	78	3 1 2
26.6	3.346	78	1 0 3
44.7	2.025	47	2 4 2
34.1	2.633	45	3 2 1
41.8	2.160	31	2 3 3
38.4	2.344	28	2 0 4
41.2	2.190	25	2 4 0

Atomic structure:
Unit cell a=9.794 b=9.794 c=10.682 alpha=90.00 beta=90.00 gamma=90.00
Space group I4/m (No. 87)
Asymmetric unit:
Ce: 0.000 0.000 0.000 (multiplicity 2)
Pm: 0.000 0.500 0.250 (multiplicity 4)
Pm: 0.116 0.212 0.343 (multiplicity 16)
Dy: 0.060 0.331 0.000 (multiplicity 8)



Entry 4:
The following is a computed X-ray powder pattern of CePm8Dy3. It was derived from a PBE-relaxed structure, using a wavelength of 1.5418 Å.
Neutral-atom scattering factors, no anomalous dispersion.

The 10 most intense peaks (2θ = 10–90°), by intensity:
2theta	d [Å]	Rel. int.	index
36.2	2.481	100	3 1 2
29.0	3.077	78	2 2 0
31.2	2.870	66	0 0 4
24.1	3.686	56	2 1 1
25.7	3.467	55	2 0 2
43.1	2.099	48	2 2 4
44.5	2.034	41	4 0 2
56.2	1.636	33	5 1 2
32.8	2.729	31	2 1 3
58.8	1.571	30	3 1 6

Atomic structure:
Unit cell a=8.702 b=8.702 c=11.480 alpha=90.00 beta=90.00 gamma=90.00
Space group I-42m (No. 121)
Asymmetric unit:
Ce: 0.000 0.000 0.000 (multiplicity 2)
Pm: 0.122 0.122 0.759 (multiplicity 8)
Pm: 0.237 0.237 0.020 (multiplicity 8)
Dy: 0.000 0.000 0.500 (multiplicity 2)
Dy: 0.000 0.500 0.250 (multiplicity 4)



Entry 5:
The following is a computed X-ray powder pattern of CePm4DyS8. It was derived from a PBE-relaxed structure, using a wavelength of 1.5418 Å.
Neutral-atom scattering factors, no anomalous dispersion.

The 10 most intense peaks (2θ = 10–90°), by intensity:
2theta	d [Å]	Rel. int.	index
25.2	3.528	100	1 1 3
40.1	2.251	48	1 2 5
43.7	2.071	40	2 2 0
43.9	2.061	40	2 0 8
25.3	3.514	35	0 1 5
30.6	2.922	28	0 2 4
21.5	4.142	19	1 1 0
60.8	1.524	17	4 1 3
21.6	4.123	16	1 0 4
51.2	1.785	15	3 1 5

Atomic structure:
Unit cell a=8.2846 b=8.2846 c=20.1495 alpha=90.00 beta=90.00 gamma=120.00
Space group R3m (No. 160, hexagonal axes)
Asymmetric unit:
Ce: 0.0000 0.0000 0.0000 (multiplicity 3)
Pm: 0.0000 0.0000 0.2479 (multiplicity 3)
Pm: 0.9999 0.4999 0.1239 (multiplicity 9)
Dy: 0.0000 0.0000 0.6243 (multiplicity 3)
S: 0.0000 0.0000 0.3807 (multiplicity 3)
S: 0.0000 0.0000 0.8653 (multiplicity 3)
S: 0.0298 0.5149 0.3748 (multiplicity 9)
S: 0.1796 0.3591 0.2073 (multiplicity 9)



Entry 6:
The following is a computed X-ray powder pattern of CePmDy4S8. It was derived from a PBE-relaxed structure, using a wavelength of 1.5418 Å.
Neutral-atom scattering factors, no anomalous dispersion.

The 10 most intense peaks (2θ = 10–90°), by intensity:
2theta	d [Å]	Rel. int.	index
25.7	3.468	100	0 2 1
40.7	2.214	42	0 3 3
44.3	2.043	38	2 0 8
44.6	2.030	38	2 2 0
25.5	3.487	32	0 1 5
31.1	2.880	26	0 2 4
21.8	4.085	18	1 0 4
21.9	4.060	15	1 1 0
40.6	2.223	14	0 2 7
52.2	1.753	14	4 0 1

Atomic structure:
Unit cell a=8.1197 b=8.1197 c=20.0783 alpha=90.00 beta=90.00 gamma=120.00
Space group R3m (No. 160, hexagonal axes)
Asymmetric unit:
Ce: 0.0000 0.0000 0.0000 (multiplicity 3)
Pm: 0.0000 0.0000 0.6258 (multiplicity 3)
Dy: 0.0000 0.0000 0.2518 (multiplicity 3)
Dy: 0.0002 0.5001 0.1262 (multiplicity 9)
S: 0.0000 0.0000 0.3839 (multiplicity 3)
S: 0.0000 0.0000 0.8638 (multiplicity 3)
S: 0.0260 0.5130 0.3824 (multiplicity 9)
S: 0.1735 0.3471 0.2045 (multiplicity 9)



Entry 7:
The following is a computed X-ray powder pattern of CePmSm6Dy2. It was derived from a PBE-relaxed structure, using a wavelength of 1.5418 Å.
Neutral-atom scattering factors, no anomalous dispersion.

The 10 most intense peaks (2θ = 10–90°), by intensity:
2theta	d [Å]	Rel. int.	index
31.0	2.884	100	2 2 -1
33.8	2.655	54	4 0 -2
31.5	2.842	53	4 0 -1
30.7	2.916	40	2 2 0
32.7	2.738	36	1 1 -3
33.3	2.691	33	0 2 2
27.2	3.275	30	1 1 2
30.5	2.929	29	3 1 -2
29.2	3.055	26	2 0 2
56.2	1.638	21	2 2 4

Atomic structure:
Unit cell a=11.415 b=6.868 c=8.955 alpha=90.00 beta=104.62 gamma=90.00
Space group C2/m (No. 12)
Asymmetric unit:
Ce: 0.000 0.000 0.000 (multiplicity 2)
Pm: 0.000 0.500 0.500 (multiplicity 2)
Sm: 0.127 0.000 0.415 (multiplicity 4)
Sm: 0.172 0.262 0.802 (multiplicity 8)
Dy: 0.090 0.500 0.164 (multiplicity 4)



Entry 8:
The following is a computed X-ray powder pattern of Tb6CePm3Dy2. It was derived from a PBE-relaxed structure, using a wavelength of 1.5418 Å.
Neutral-atom scattering factors, no anomalous dispersion.

The 10 most intense peaks (2θ = 10–90°), by intensity:
2theta	d [Å]	Rel. int.	index
30.6	2.924	100	1 3 1
35.5	2.531	67	2 0 2
51.0	1.790	48	0 6 0
60.7	1.527	43	4 0 0
30.6	2.917	33	0 0 4
60.8	1.524	14	2 0 6
63.6	1.462	12	2 6 2
83.1	1.162	12	4 6 0
85.8	1.133	11	5 3 1
85.9	1.131	11	3 3 7

Atomic structure:
Unit cell a=6.205 b=10.746 c=11.851 alpha=90.00 beta=100.05 gamma=90.00
Space group C2/m (No. 12)
Asymmetric unit:
Tb: 0.248 0.166 0.247 (multiplicity 8)
Tb: 0.249 0.000 0.753 (multiplicity 4)
Ce: 0.000 0.000 0.000 (multiplicity 2)
Pm: 0.000 0.167 0.500 (multiplicity 4)
Pm: 0.000 0.500 0.500 (multiplicity 2)
Dy: 0.000 0.333 0.000 (multiplicity 4)



Entry 9:
The following is a computed X-ray powder pattern of Tb4CePmDy2. It was derived from a PBE-relaxed structure, using a wavelength of 1.5418 Å.
Neutral-atom scattering factors, no anomalous dispersion.

The 10 most intense peaks (2θ = 10–90°), by intensity:
2theta	d [Å]	Rel. int.	index
30.8	2.907	100	1 1 1
35.7	2.518	51	2 0 2
61.0	1.519	32	3 1 3
51.3	1.781	30	3 1 -1
61.1	1.517	11	4 0 0
64.1	1.453	9	2 2 2
83.8	1.154	9	1 3 1
86.5	1.125	8	4 2 -4
86.3	1.127	8	0 2 8
51.4	1.779	6	0 2 0

Atomic structure:
Unit cell a=6.162 b=3.558 c=11.830 alpha=90.00 beta=99.99 gamma=90.00
Space group P2/m (No. 10)
Asymmetric unit:
Tb: 0.246 0.000 0.247 (multiplicity 2)
Tb: 0.248 0.500 0.752 (multiplicity 2)
Ce: 0.000 0.500 0.000 (multiplicity 1)
Pm: 0.000 0.000 0.500 (multiplicity 1)
Dy: 0.500 0.000 0.000 (multiplicity 1)
Dy: 0.500 0.500 0.500 (multiplicity 1)



Entry 10:
The following is a computed X-ray powder pattern of Ce2PmDy6Tm3. It was derived from a PBE-relaxed structure, using a wavelength of 1.5418 Å.
Neutral-atom scattering factors, no anomalous dispersion.

The 8 most intense peaks (2θ = 10–90°), by intensity:
2theta	d [Å]	Rel. int.	index
31.0	2.883	100	1 3 1
36.0	2.497	51	2 0 2
61.6	1.506	43	4 0 0
51.8	1.766	36	1 3 5
84.6	1.146	18	4 6 0
87.3	1.117	17	5 3 1
64.7	1.442	12	2 6 2
76.3	1.249	6	4 0 4

Atomic structure:
Unit cell a=6.116 b=10.595 c=11.712 alpha=90.00 beta=100.03 gamma=90.00
Space group C2/m (No. 12)
Asymmetric unit:
Ce: 0.000 0.167 0.000 (multiplicity 4)
Pm: 0.000 0.500 0.000 (multiplicity 2)
Dy: 0.247 0.168 0.748 (multiplicity 8)
Dy: 0.249 0.000 0.252 (multiplicity 4)
Tm: 0.000 0.000 0.500 (multiplicity 2)
Tm: 0.000 0.334 0.500 (multiplicity 4)



Entry 11:
The following is a computed X-ray powder pattern of CePr4Dy. It was derived from a PBE-relaxed structure, using a wavelength of 1.5418 Å.
Neutral-atom scattering factors, no anomalous dispersion.

The 10 most intense peaks (2θ = 10–90°), by intensity:
2theta	d [Å]	Rel. int.	index
29.9	2.985	100	2 0 0
34.7	2.588	34	1 3 1
59.2	1.560	29	3 3 1
49.9	1.829	24	2 0 2
34.8	2.579	17	2 0 -2
59.4	1.556	14	4 0 -2
62.2	1.493	12	4 0 0
49.9	1.826	12	3 3 -1
81.1	1.185	9	5 3 -1
83.6	1.157	8	4 6 0

Atomic structure:
Unit cell a=6.323 b=10.978 c=6.328 alpha=90.00 beta=109.26 gamma=90.00
Space group P2_1/c (No. 14)
Asymmetric unit:
Ce: 0.000 0.000 0.000 (multiplicity 2)
Pr: 0.001 0.165 0.501 (multiplicity 4)
Pr: 0.499 0.663 0.499 (multiplicity 4)
Dy: 0.500 0.000 0.500 (multiplicity 2)



Entry 12:
The following is a computed X-ray powder pattern of CePr2Dy5. It was derived from a PBE-relaxed structure, using a wavelength of 1.5418 Å.
Neutral-atom scattering factors, no anomalous dispersion.

The 10 most intense peaks (2θ = 10–90°), by intensity:
2theta	d [Å]	Rel. int.	index
30.6	2.926	100	1 1 4
35.3	2.542	34	2 0 0
60.4	1.532	29	3 1 4
51.1	1.789	24	2 0 8
35.7	2.517	16	0 0 8
60.9	1.520	13	1 1 12
50.8	1.798	12	2 2 0
63.6	1.463	12	2 2 8
83.2	1.161	11	3 1 12
82.8	1.166	6	3 3 4

Atomic structure:
Unit cell a=5.085 b=5.085 c=20.133 alpha=90.00 beta=90.00 gamma=90.00
Space group I4/mmm (No. 139)
Asymmetric unit:
Ce: 0.000 0.000 0.000 (multiplicity 2)
Pr: 0.000 0.000 0.248 (multiplicity 4)
Dy: 0.000 0.000 0.500 (multiplicity 2)
Dy: 0.000 0.500 0.121 (multiplicity 8)